Computed powder diffraction line list
Compound: RbFeO2
Radiation: Cu Kα (λ = 1.5418 Å)
Structure: a DFT-relaxed cell (PBE+U, Alexandria)
Lines closer than 0.1° are merged.

Peak list (8 most intense, 2θ from 5° to 70°, sorted by position)
2θ/deg, I (rel.)
26.1, 13
30.0, 65
30.2, 100
43.0, 14
43.5, 10
53.4, 34
53.7, 20
62.8, 11

Atomic structure:
Cell: 5.9492 5.9492 8.3268 Å, 90.00 90.00 90.00°
Space group P4_12_12 (No. 92)
Asymmetric unit:
Rb1 0.2228 0.2228 0.0000
Fe1 0.2116 0.2116 0.5000
O1 0.0937 0.7562 0.9289